Record 1
Diffraction record for Ho3Sc2Cd2. The X-ray powder pattern is calculated, not measured: it uses a cell relaxed with GGA-PBE and λ = 1.5418 Å (Cu Kα).
Intensities are scaled so that the largest is 100.

Largest 8 diffraction maxima, in order of rising 2θ, 10 to 90 degrees two-theta:
2θ (°)  I_rel
32.31  100
33.92  80
36.07  49
36.63  35
52.36  34
64.47  21
65.30  23
88.72  16

Structure:
```
Ho3Sc2Cd2
1.0
2.453 -10.979 0.000
2.453 10.979 0.000
0.000 0.000 3.397
Ho Sc Cd
3 2 2
Direct
0.000 0.000 0.000
0.152 0.848 0.000
0.848 0.152 0.000
0.286 0.714 0.500
0.714 0.286 0.500
0.428 0.572 0.500
0.572 0.428 0.500
```

Record 2
Diffraction record for K2AcAgF8. The X-ray powder pattern is calculated, not measured: it uses a cell relaxed with GGA-PBE and λ = 1.5418 Å (Cu Kα).
Intensities are scaled so that the largest is 100.

Largest 8 diffraction maxima, in order of rising 2θ, 10 to 90 degrees two-theta:
2θ (°)  I_rel
14.38  100
20.95  68
24.09  70
24.71  63
26.28  50
26.86  52
39.02  32
42.65  46

Structure:
```
K2AcAgF8
1.0
4.249 0.000 0.000
0.415 6.199 0.000
0.190 0.974 8.480
K Ac Ag F
2 1 1 8
Direct
0.005 0.013 0.243
0.995 0.987 0.757
0.500 0.500 0.500
0.500 0.500 0.000
0.007 0.289 0.461
0.128 0.699 0.027
0.454 0.340 0.213
0.473 0.218 0.714
0.527 0.782 0.286
0.546 0.660 0.787
0.872 0.301 0.973
0.993 0.711 0.539
```

Record 3
Diffraction record for HgMoSe2N. The X-ray powder pattern is calculated, not measured: it uses a cell relaxed with GGA-PBE and λ = 1.5418 Å (Cu Kα).
Intensities are scaled so that the largest is 100.

Largest 8 diffraction maxima, in order of rising 2θ, 10 to 90 degrees two-theta:
2θ (°)  I_rel
24.50  22
29.11  100
34.04  63
34.92  86
46.08  58
50.21  30
60.36  34
62.05  22

Structure:
```
HgMoSe2N
1.0
5.139 0.000 0.000
0.000 5.139 0.000
0.000 0.000 3.823
Hg Mo Se N
1 1 2 1
Direct
0.000 0.000 0.000
0.500 0.500 0.500
0.000 0.500 0.500
0.500 0.000 0.500
0.500 0.500 0.000
```

Record 4
Diffraction record for DyGe2Pt7. The X-ray powder pattern is calculated, not measured: it uses a cell relaxed with GGA-PBE and λ = 1.5418 Å (Cu Kα).
Intensities are scaled so that the largest is 100.

Largest 8 diffraction maxima, in order of rising 2θ, 10 to 90 degrees two-theta:
2θ (°)  I_rel
30.88  23
32.12  17
34.88  17
35.59  23
40.79  100
44.25  52
64.36  17
79.06  30

Structure:
```
DyGe2Pt7
1.0
-2.047 2.047 10.289
2.047 -2.047 10.289
2.047 2.047 -10.289
Dy Ge Pt
1 2 7
Direct
0.000 0.000 0.000
0.325 0.325 0.000
0.675 0.675 0.000
0.103 0.603 0.500
0.250 0.750 0.500
0.397 0.897 0.500
0.500 0.500 0.000
0.603 0.103 0.500
0.750 0.250 0.500
0.897 0.397 0.500
```

Record 5
Diffraction record for Ba3Mg2Cd2In4. The X-ray powder pattern is calculated, not measured: it uses a cell relaxed with GGA-PBE and λ = 1.5418 Å (Cu Kα).
Intensities are scaled so that the largest is 100.

Largest 8 diffraction maxima, in order of rising 2θ, 10 to 90 degrees two-theta:
2θ (°)  I_rel
22.68  15
26.31  50
30.73  83
33.78  100
46.31  26
55.00  20
58.54  26
60.41  26

Structure:
```
Ba3Mg2Cd2In4
1.0
5.306 0.000 0.000
-2.653 4.595 0.000
0.000 0.000 15.037
Ba Mg Cd In
3 2 2 4
Direct
0.000 0.000 0.000
0.000 0.000 0.277
0.000 0.000 0.723
0.333 0.667 0.569
0.667 0.333 0.431
0.333 0.667 0.153
0.667 0.333 0.847
0.333 0.667 0.377
0.333 0.667 0.857
0.667 0.333 0.143
0.667 0.333 0.623
```

Record 6
Diffraction record for LaY. The X-ray powder pattern is calculated, not measured: it uses a cell relaxed with GGA-PBE and λ = 1.5418 Å (Cu Kα).
Intensities are scaled so that the largest is 100.

Largest 8 diffraction maxima, in order of rising 2θ, 10 to 90 degrees two-theta:
2θ (°)  I_rel
27.68  19
30.48  29
31.70  100
31.81  20
41.65  16
49.10  15
54.94  21
58.90  18

Structure:
```
LaY
1.0
6.681 -1.863 0.000
6.681 1.863 0.000
-2.070 0.000 8.451
La Y
3 3
Direct
0.000 0.000 0.000
0.054 0.054 0.609
0.668 0.668 0.334
0.331 0.331 0.669
0.385 0.385 0.276
0.726 0.726 0.945
```

Record 7
Diffraction record for Pr4Sm2Mg. The X-ray powder pattern is calculated, not measured: it uses a cell relaxed with GGA-PBE and λ = 1.5418 Å (Cu Kα).
Intensities are scaled so that the largest is 100.

Largest 8 diffraction maxima, in order of rising 2θ, 10 to 90 degrees two-theta:
2θ (°)  I_rel
10.54  19
25.38  18
29.77  100
30.12  44
30.97  48
33.17  22
33.58  37
54.67  28

Structure:
```
Pr4Sm2Mg
1.0
-3.458 5.776 6.111
3.458 -5.776 6.111
3.458 5.776 -6.111
Pr Sm Mg
8 4 2
Direct
0.168 0.154 0.014
0.242 0.215 0.474
0.242 0.768 0.026
0.360 0.846 0.514
0.640 0.154 0.486
0.758 0.232 0.974
0.758 0.785 0.526
0.832 0.846 0.986
0.000 0.500 0.500
0.033 0.283 0.750
0.500 0.500 0.000
0.967 0.717 0.250
0.500 0.000 0.000
0.500 0.500 0.500
```

Record 8
Diffraction record for Pm2HoPdO6. The X-ray powder pattern is calculated, not measured: it uses a cell relaxed with GGA-PBE and λ = 1.5418 Å (Cu Kα).
Intensities are scaled so that the largest is 100.

Largest 8 diffraction maxima, in order of rising 2θ, 10 to 90 degrees two-theta:
2θ (°)  I_rel
29.30  100
29.85  94
30.11  99
30.28  86
30.66  91
31.42  85
41.61  47
44.20  75

Structure:
```
Pm2HoPdO6
1.0
5.695 0.000 0.000
2.740 5.160 0.000
0.002 3.194 4.971
Pm Ho Pd O
2 1 1 6
Direct
0.000 0.000 0.000
0.495 0.994 0.514
0.722 0.543 0.176
0.209 0.565 0.649
0.092 0.465 0.393
0.340 0.706 0.865
0.420 0.708 0.380
0.601 0.033 0.876
0.837 0.067 0.353
0.940 0.474 0.866
```

Record 9
Diffraction record for H2PdI5. The X-ray powder pattern is calculated, not measured: it uses a cell relaxed with GGA-PBE and λ = 1.5418 Å (Cu Kα).
Intensities are scaled so that the largest is 100.

Largest 8 diffraction maxima, in order of rising 2θ, 10 to 90 degrees two-theta:
2θ (°)  I_rel
24.43  72
26.01  66
27.79  54
28.53  47
30.30  100
30.61  63
31.96  82
43.14  64

Structure:
```
H2PdI5
1.0
5.913 0.000 0.000
2.951 6.143 0.000
2.491 -0.879 6.743
H Pd I
2 1 5
Direct
0.000 0.000 0.000
0.418 0.115 0.475
0.143 0.740 0.405
0.049 0.088 0.207
0.205 0.391 0.611
0.431 0.484 0.056
0.624 0.773 0.401
0.845 0.982 0.776
```

Record 10
Diffraction record for PaSiRu3. The X-ray powder pattern is calculated, not measured: it uses a cell relaxed with GGA-PBE and λ = 1.5418 Å (Cu Kα).
Intensities are scaled so that the largest is 100.

Largest 8 diffraction maxima, in order of rising 2θ, 10 to 90 degrees two-theta:
2θ (°)  I_rel
10.75  43
18.84  42
21.59  74
33.75  100
36.56  51
41.44  61
44.39  64
49.86  59

Structure:
```
PaSiRu3
1.0
-2.458 2.458 8.231
2.458 -2.458 8.231
2.458 2.458 -8.231
Pa Si Ru
2 2 6
Direct
0.119 0.119 0.000
0.881 0.881 0.000
0.250 0.750 0.500
0.500 0.500 0.000
0.372 0.130 0.758
0.372 0.614 0.242
0.386 0.628 0.758
0.524 0.024 0.500
0.870 0.628 0.242
0.976 0.476 0.500
```

Record 11
Diffraction record for Tb2Pm4Pr. The X-ray powder pattern is calculated, not measured: it uses a cell relaxed with GGA-PBE and λ = 1.5418 Å (Cu Kα).
Intensities are scaled so that the largest is 100.

Largest 8 diffraction maxima, in order of rising 2θ, 10 to 90 degrees two-theta:
2θ (°)  I_rel
27.46  30
30.69  47
31.08  72
33.20  100
50.27  23
56.18  22
60.06  27
60.95  21

Structure:
```
Tb2Pm4Pr
1.0
-1.790 2.913 11.582
1.790 -2.913 11.582
1.790 2.913 -11.582
Tb Pm Pr
2 4 1
Direct
0.225 0.225 0.000
0.775 0.775 0.000
0.087 0.587 0.500
0.362 0.862 0.500
0.638 0.138 0.500
0.913 0.413 0.500
0.500 0.500 0.000
```

Record 12
Diffraction record for Al5Ga4Tc. The X-ray powder pattern is calculated, not measured: it uses a cell relaxed with GGA-PBE and λ = 1.5418 Å (Cu Kα).
Intensities are scaled so that the largest is 100.

Largest 8 diffraction maxima, in order of rising 2θ, 10 to 90 degrees two-theta:
2θ (°)  I_rel
20.58  55
29.30  69
36.10  100
41.89  35
41.97  35
44.64  42
47.10  51
60.80  34

Structure:
```
Al5Ga4Tc
1.0
-4.306 4.306 2.495
4.306 -4.306 2.495
4.306 4.306 -2.495
Al Ga Tc
5 4 1
Direct
0.000 0.000 0.000
0.121 0.121 0.615
0.121 0.505 0.000
0.505 0.121 0.000
0.505 0.505 0.385
0.037 0.744 0.293
0.451 0.744 0.707
0.744 0.037 0.293
0.744 0.451 0.707
0.499 0.499 0.000
```